Starting from a cell relaxed with GGA-PBE, the X-ray diffraction stick pattern of RbNaPrO3 was simulated for Cu Kα X-rays.
Kinematic intensities with the Lorentz-polarization factor, no thermal factor.

Main lines, sorted by position (2θ from 10° to 80°):
2θ 16.57, I = 84.8
2θ 20.67, I = 45.4
2θ 28.83, I = 87.4
2θ 29.65, I = 53.3
2θ 30.06, I = 51.7
2θ 31.91, I = 100.0
2θ 37.91, I = 44.8
2θ 47.17, I = 29.2
2θ 50.12, I = 32.8
2θ 50.64, I = 26.5
2θ 54.24, I = 20.4
2θ 54.49, I = 20.1

Structure:
Cell: 6.8413 6.8413 6.1566 Å, 95.23 95.23 127.29°
Element x y z (fractional)
Rb  0.2433  0.7567  0.7500
Rb  0.7567  0.2433  0.2500
Na  0.0621  0.9379  0.2500
Na  0.9379  0.0621  0.7500
Pr  0.4298  0.5702  0.2500
Pr  0.5702  0.4298  0.7500
O  0.2262  0.3026  0.5015
O  0.2469  0.7531  0.2500
O  0.3026  0.2262  0.0015
O  0.6974  0.7738  0.9985
O  0.7531  0.2469  0.7500
O  0.7738  0.6974  0.4985

Starting from a cell relaxed with GGA-PBE, the X-ray diffraction stick pattern of YLuFePb was simulated for Cu Kα X-rays.
Kinematic intensities with the Lorentz-polarization factor, no thermal factor.

Main lines, sorted by position (2θ from 10° to 80°):
2θ 22.07, I = 21.0
2θ 25.54, I = 1.7
2θ 36.43, I = 100.0
2θ 43.01, I = 12.1
2θ 45.02, I = 0.6
2θ 52.48, I = 17.6
2θ 57.60, I = 5.4
2θ 59.24, I = 0.8
2θ 65.57, I = 35.8
2θ 70.10, I = 4.2
2θ 77.40, I = 11.2

Structure:
Cell: 4.9321 4.9321 4.9321 Å, 60.00 60.00 60.00°
Element x y z (fractional)
Y  0.0000  0.0000  0.0000
Lu  0.2500  0.2500  0.2500
Fe  0.7500  0.7500  0.7500
Pb  0.5000  0.5000  0.5000